U3Se5O: calculated XRD peak list (a wavelength of 1.5418 Å), based on a crystal structure in Alexandria, relaxed with PBE.

Top 6 peaks for 10° ≤ 2θ ≤ 80°, low angle first:
Position (°2θ)  I (rel.)
18.64  100.0
21.77  44.7
26.15  56.9
34.26  37.9
36.85  33.6
37.56  52.4

abc: 12.0264 9.5221 8.9886
angles: 90.00 108.06 90.00
Space group C2/m (No. 12)
Symmetry-distinct sites (fractional):
1 U 0.0000 0.0000 0.0000 (multiplicity 2)
2 U 0.0000 0.0000 0.5000 (multiplicity 2)
3 U 0.1557 0.5000 0.1633 (multiplicity 4)
4 U 0.2296 0.5000 0.6003 (multiplicity 4)
5 Se 0.0000 0.2938 0.0000 (multiplicity 4)
6 Se 0.0149 0.5000 0.3402 (multiplicity 4)
7 Se 0.1885 0.1886 0.6341 (multiplicity 8)
8 Se 0.2406 0.0000 0.0709 (multiplicity 4)
9 O 0.0754 0.0000 0.3029 (multiplicity 4)